# Na3YTaSi2PO12
Computed XRD peak list, Cu Kα (λ = 1.5418 Å). Input: the PBE geometry in the Materials Project.
Peak positions follow from Bragg's law for the DFT cell and can differ from measured ones.

Top 6 peaks for 10° ≤ 2θ ≤ 90°, by angle:
h k l, 2theta, I/Imax
1 1 -1, 13.54, 39
3 1 -1, 19.18, 100
2 0 -2, 19.28, 28
4 0 0, 27.28, 32
3 1 1, 30.56, 55
3 3 -1, 33.50, 38

```
data_Na3YTaSi2PO12
_chemical_formula_sum 'Na12 Y4 Ta4 Si8 P4 O48'
_symmetry_space_group_name_H-M 'C 1 c 1'
_symmetry_Int_Tables_number 9
_symmetry_space_group_name_Hall 'C -2yc'
_cell_length_a 16.0039
_cell_length_b 9.2775
_cell_length_c 9.2089
_cell_angle_alpha 90.00
_cell_angle_beta 125.12
_cell_angle_gamma 90.00
loop_
_atom_site_label
_atom_site_type_symbol
_atom_site_fract_x
_atom_site_fract_y
_atom_site_fract_z
Na1 Na 0.0000 0.0516 0.0000
Na2 Na 0.0745 0.2381 0.7519
Na3 Na 0.1506 0.4082 0.5128
Y1 Y 0.4236 0.2441 0.8166
Ta1 Ta 0.2255 0.2447 0.2032
Si1 Si 0.1783 0.0919 0.5048
Si2 Si 0.3225 0.4539 0.0169
P1 P 0.4816 0.1160 0.5159
O1 O 0.0636 0.2912 0.0133
O2 O 0.0807 0.1556 0.4948
O3 O 0.1791 0.1337 0.3256
O4 O 0.1833 0.0869 0.0265
O5 O 0.2354 0.3654 0.0294
O6 O 0.2542 0.4247 0.3450
O7 O 0.2737 0.1691 0.6707
O8 O 0.3728 0.1798 0.3583
O9 O 0.3935 0.4531 0.6937
O10 O 0.3973 0.3492 0.0022
O11 O 0.4955 0.1370 0.6918
O12 O 0.4972 0.0414 0.9903
```